Structure and theoretical powder diffractogram of Ba4Pr2Cu6O13 (the PBE geometry in the Materials Project; Cu Kα (λ = 1.5418 Å)).

Crystal structure
a = 12.671 Å, b = 12.650 Å, c = 5.576 Å
α = 77.49°, β = 77.07°, γ = 25.44°
Element x y z (fractional)
Ba (0.149, 0.662, 0.851)
Ba (0.338, 0.851, 0.662)
Ba (0.662, 0.149, 0.338)
Ba (0.851, 0.338, 0.149)
Pr (0.000, 0.500, 0.000)
Pr (0.500, 0.000, 0.500)
Cu (0.075, 0.572, 0.428)
Cu (0.237, 0.763, 0.237)
Cu (0.428, 0.925, 0.075)
Cu (0.572, 0.075, 0.925)
Cu (0.763, 0.237, 0.763)
Cu (0.925, 0.428, 0.572)
O (0.000, 0.000, 0.000)
O (0.184, 0.184, 0.816)
O (0.186, 0.186, 0.314)
O (0.195, 0.655, 0.345)
O (0.314, 0.314, 0.186)
O (0.314, 0.314, 0.686)
O (0.345, 0.805, 0.195)
O (0.655, 0.195, 0.805)
O (0.686, 0.686, 0.314)
O (0.686, 0.686, 0.814)
O (0.805, 0.345, 0.655)
O (0.814, 0.814, 0.686)
O (0.816, 0.816, 0.184)

The 10 most intense peaks (2θ from 15° to 90°), in order of falling intensity:
2θ/deg, intensity
32.11, 100
31.97, 97
31.69, 93
56.80, 37
57.33, 34
56.54, 29
45.63, 29
46.46, 27
39.36, 26
45.22, 17



Structure and theoretical powder diffractogram of BaSrPrCu3O7 (the PBE geometry in the Materials Project; Cu Kα (λ = 1.5418 Å)).

Crystal structure
a = 3.826 Å, b = 3.941 Å, c = 11.749 Å
α = 90.00°, β = 90.00°, γ = 90.00°
Element x y z (fractional)
Ba (0.000, 0.000, 0.000)
Sr (0.000, 0.000, 0.644)
Pr (0.000, 0.000, 0.326)
Cu (0.500, 0.500, 0.168)
Cu (0.500, 0.500, 0.484)
Cu (0.500, 0.500, 0.820)
O (0.000, 0.500, 0.196)
O (0.000, 0.500, 0.458)
O (0.500, 0.000, 0.193)
O (0.500, 0.000, 0.462)
O (0.500, 0.000, 0.812)
O (0.500, 0.500, 0.662)
O (0.500, 0.500, 0.979)

The 10 most intense peaks (2θ from 15° to 90°), in order of falling intensity:
2θ/deg, intensity
32.72, 100
32.23, 91
32.62, 91
57.65, 38
57.84, 37
58.59, 33
46.07, 29
47.53, 26
40.11, 24
46.37, 22



Structure and theoretical powder diffractogram of Ba4PrTmCu6O14 (the PBE geometry in the Materials Project; Cu Kα (λ = 1.5418 Å)).

Crystal structure
a = 3.862 Å, b = 3.938 Å, c = 23.749 Å
α = 90.00°, β = 90.00°, γ = 90.00°
Element x y z (fractional)
Ba (0.000, 0.000, 0.159)
Ba (0.000, 0.000, 0.339)
Ba (0.000, 0.000, 0.661)
Ba (0.000, 0.000, 0.841)
Pr (0.000, 0.000, 0.500)
Tm (0.000, 0.000, 0.000)
Cu (0.500, 0.500, 0.072)
Cu (0.500, 0.500, 0.250)
Cu (0.500, 0.500, 0.423)
Cu (0.500, 0.500, 0.577)
Cu (0.500, 0.500, 0.750)
Cu (0.500, 0.500, 0.928)
O (0.000, 0.500, 0.058)
O (0.000, 0.500, 0.435)
O (0.000, 0.500, 0.565)
O (0.000, 0.500, 0.942)
O (0.500, 0.000, 0.059)
O (0.500, 0.000, 0.249)
O (0.500, 0.000, 0.435)
O (0.500, 0.000, 0.565)
O (0.500, 0.000, 0.751)
O (0.500, 0.000, 0.941)
O (0.500, 0.500, 0.170)
O (0.500, 0.500, 0.329)
O (0.500, 0.500, 0.671)
O (0.500, 0.500, 0.830)

The 10 most intense peaks (2θ from 15° to 90°), in order of falling intensity:
2θ/deg, intensity
32.43, 100
32.06, 47
57.46, 20
57.30, 19
58.08, 17
39.84, 15
46.10, 14
47.06, 14
45.85, 10
68.00, 8



Structure and theoretical powder diffractogram of Ba6Pr2YCu12O24 (the PBE geometry in the Materials Project; Cu Kα (λ = 1.5418 Å)).

Crystal structure
a = 14.546 Å, b = 14.546 Å, c = 5.547 Å
α = 95.64°, β = 95.64°, γ = 144.85°
Element x y z (fractional)
Ba (0.135, 0.865, 0.000)
Ba (0.197, 0.470, 0.667)
Ba (0.470, 0.197, 0.667)
Ba (0.530, 0.803, 0.333)
Ba (0.803, 0.530, 0.333)
Ba (0.865, 0.135, 0.000)
Pr (0.332, 0.332, 0.666)
Pr (0.668, 0.668, 0.334)
Y (0.000, 0.000, 0.000)
Cu (0.063, 0.937, 0.500)
Cu (0.120, 0.546, 0.167)
Cu (0.213, 0.787, 0.500)
Cu (0.269, 0.395, 0.166)
Cu (0.395, 0.269, 0.166)
Cu (0.454, 0.880, 0.833)
Cu (0.546, 0.120, 0.167)
Cu (0.605, 0.731, 0.834)
Cu (0.731, 0.605, 0.834)
Cu (0.787, 0.213, 0.500)
Cu (0.880, 0.454, 0.833)
Cu (0.937, 0.063, 0.500)
O (0.052, 0.614, 0.167)
O (0.109, 0.218, 0.326)
O (0.110, 0.215, 0.837)
O (0.146, 0.854, 0.500)
O (0.187, 0.479, 0.166)
O (0.215, 0.110, 0.837)
O (0.218, 0.109, 0.326)
O (0.281, 0.719, 0.500)
O (0.386, 0.948, 0.833)
O (0.443, 0.557, 0.000)
O (0.445, 0.555, 0.500)
O (0.479, 0.187, 0.166)
O (0.521, 0.813, 0.834)
O (0.555, 0.445, 0.500)
O (0.557, 0.443, 0.000)
O (0.614, 0.052, 0.167)
O (0.719, 0.281, 0.500)
O (0.782, 0.891, 0.674)
O (0.785, 0.890, 0.163)
O (0.813, 0.521, 0.834)
O (0.854, 0.146, 0.500)
O (0.890, 0.785, 0.163)
O (0.891, 0.782, 0.674)
O (0.948, 0.386, 0.833)

The 10 most intense peaks (2θ from 15° to 90°), in order of falling intensity:
2θ/deg, intensity
32.21, 100
32.47, 95
34.46, 63
29.80, 42
57.34, 38
46.09, 33
46.59, 32
60.17, 28
45.80, 22
26.02, 21



Structure and theoretical powder diffractogram of Ba6Pr2YCu12O24 (the PBE geometry in the Materials Project; Cu Kα (λ = 1.5418 Å)).

Crystal structure
a = 5.532 Å, b = 8.712 Å, c = 13.940 Å
α = 82.85°, β = 84.37°, γ = 71.90°
Element x y z (fractional)
Ba (0.045, 0.045, 0.228)
Ba (0.288, 0.288, 0.773)
Ba (0.379, 0.379, 0.227)
Ba (0.621, 0.621, 0.773)
Ba (0.712, 0.712, 0.227)
Ba (0.955, 0.955, 0.772)
Pr (0.334, 0.332, 0.500)
Pr (0.666, 0.668, 0.500)
Y (0.000, 0.000, 0.500)
Cu (0.096, 0.596, 0.924)
Cu (0.145, 0.647, 0.628)
Cu (0.187, 0.689, 0.372)
Cu (0.238, 0.738, 0.076)
Cu (0.429, 0.929, 0.924)
Cu (0.479, 0.979, 0.627)
Cu (0.521, 0.021, 0.373)
Cu (0.571, 0.071, 0.076)
Cu (0.762, 0.262, 0.924)
Cu (0.813, 0.311, 0.628)
Cu (0.855, 0.353, 0.372)
Cu (0.904, 0.404, 0.076)
O (0.018, 0.518, 0.389)
O (0.073, 0.573, 0.062)
O (0.118, 0.618, 0.791)
O (0.145, 0.145, 0.609)
O (0.182, 0.181, 0.391)
O (0.216, 0.715, 0.209)
O (0.261, 0.760, 0.938)
O (0.307, 0.820, 0.607)
O (0.343, 0.856, 0.393)
O (0.407, 0.906, 0.062)
O (0.451, 0.951, 0.790)
O (0.481, 0.481, 0.613)
O (0.519, 0.519, 0.387)
O (0.549, 0.049, 0.210)
O (0.593, 0.094, 0.938)
O (0.657, 0.144, 0.607)
O (0.693, 0.180, 0.393)
O (0.739, 0.240, 0.062)
O (0.784, 0.285, 0.791)
O (0.818, 0.819, 0.609)
O (0.855, 0.855, 0.391)
O (0.882, 0.382, 0.209)
O (0.927, 0.427, 0.938)
O (0.982, 0.482, 0.611)

The 10 most intense peaks (2θ from 15° to 90°), in order of falling intensity:
2θ/deg, intensity
32.31, 100
32.57, 97
34.62, 65
29.94, 43
46.30, 33
46.65, 32
60.43, 30
46.03, 23
26.13, 20
57.63, 20